No. 1
Diffraction record for Na4Pt3. The X-ray diffraction stick pattern is theoretical, not measured: it uses DFT lattice parameters and positions (PBE) and Cu Kα.
No peak broadening, texture or thermal motion is included.

Main lines, sorted by position (2θ = 10–80°):
d (Å)  2theta  I (rel.)
5.366  16.52  1000
4.736  18.74  223
3.551  25.08  212
2.683  33.40  216
2.436  36.90  167
2.368  38.00  498
2.334  38.57  185
2.166  41.69  782
1.775  51.47  300
1.427  65.39  198

Crystal structure
```
7
Lattice="5.468 0.000 0.000 -2.734 4.736 0.000 0.000 0.000 5.366" Properties=species:S:1:pos:R:3 pbc="T T T"
Na 0.000 0.000 1.263
Na 0.000 0.000 4.103
Na 0.000 3.157 2.683
Na 2.734 1.579 2.683
Pt -1.367 2.368 0.000
Pt 2.734 0.000 0.000
Pt 1.367 2.368 0.000
```

---

No. 2
Diffraction record for TlH2Cl2. The X-ray diffraction stick pattern is theoretical, not measured: it uses DFT lattice parameters and positions (PBE) and Cu Kα.
No peak broadening, texture or thermal motion is included.

Main lines, sorted by position (2θ = 10–80°):
d (Å)  2theta  I (rel.)
7.755  11.41  1000
3.877  22.94  93
3.756  23.69  194
3.694  24.09  238
3.504  25.42  105
3.188  27.99  343
3.105  28.76  162
2.526  35.54  175
2.250  40.07  102
2.199  41.04  130

Crystal structure
```
10
Lattice="3.869 -2.122 0.000 3.869 2.122 0.000 -3.796 0.000 15.510" Properties=species:S:1:pos:R:3 pbc="T T T"
Tl 1.022 1.093 11.632
Tl 2.920 -1.093 3.877
H 2.305 1.051 0.059
H 3.535 1.051 7.695
H 0.407 -1.051 7.814
H 1.636 -1.051 15.450
Cl 1.547 1.027 5.285
Cl 4.293 1.027 2.470
Cl -0.351 -1.027 13.040
Cl 2.395 -1.027 10.225
```

---

No. 3
Diffraction record for Na2PuRhO6. The X-ray diffraction stick pattern is theoretical, not measured: it uses DFT lattice parameters and positions (PBE) and Cu Kα.
No peak broadening, texture or thermal motion is included.

Main lines, sorted by position (2θ = 10–80°):
d (Å)  2theta  I (rel.)
5.684  15.59  308
4.115  21.59  523
4.019  22.12  988
2.875  31.10  1000
2.842  31.48  485
2.010  45.11  331
1.832  49.78  225
1.806  50.54  215
1.798  50.79  212
1.647  55.81  400

Crystal structure
```
10
Lattice="5.684 0.000 0.000 0.000 5.684 0.000 0.000 0.000 4.115" Properties=species:S:1:pos:R:3 pbc="T T T"
Na 0.000 2.842 0.000
Na 2.842 0.000 0.000
Pu 0.000 0.000 2.058
Rh 2.842 2.842 2.058
O 0.000 0.000 0.000
O 1.424 1.424 2.058
O 1.424 4.260 2.058
O 2.842 2.842 0.000
O 4.260 1.424 2.058
O 4.260 4.260 2.058
```

---

No. 4
Diffraction record for AcAu4S. The X-ray diffraction stick pattern is theoretical, not measured: it uses DFT lattice parameters and positions (PBE) and Cu Kα.
No peak broadening, texture or thermal motion is included.

Main lines, sorted by position (2θ = 10–80°):
d (Å)  2theta  I (rel.)
4.654  19.07  299
4.030  22.05  96
2.850  31.39  142
2.430  36.99  1000
2.327  38.69  563
2.015  44.98  122
1.551  59.60  341
1.425  65.50  302
1.229  77.68  121
1.215  78.75  224

Crystal structure
```
6
Lattice="0.000 4.030 4.030 4.030 0.000 4.030 4.030 4.030 0.000" Properties=species:S:1:pos:R:3 pbc="T T T"
Ac 0.000 0.000 0.000
Au 5.033 3.028 3.028
Au 3.028 5.033 3.028
Au 3.028 3.028 5.033
Au 5.033 5.033 5.033
S 2.015 2.015 2.015
```

---

No. 5
Diffraction record for LiCuNi6. The X-ray diffraction stick pattern is theoretical, not measured: it uses DFT lattice parameters and positions (PBE) and Cu Kα.
No peak broadening, texture or thermal motion is included.

Main lines, sorted by position (2θ = 10–80°):
d (Å)  2theta  I (rel.)
5.787  15.31  71
4.677  18.97  42
4.084  21.76  101
3.417  26.08  63
2.042  44.36  1000
2.031  44.61  984
1.775  51.48  314
1.758  52.01  613
1.249  76.23  444
1.238  77.00  86

Crystal structure
```
32
Lattice="2.477 -7.101 0.000 2.477 7.101 0.000 0.000 0.000 9.985" Properties=species:S:1:pos:R:3 pbc="T T T"
Li 0.000 0.000 2.498
Li 0.000 0.000 7.486
Li 2.477 3.540 0.000
Li 2.477 -3.540 0.000
Cu 2.477 3.561 4.992
Cu 2.477 0.000 2.507
Cu 2.477 0.000 7.478
Cu 2.477 -3.561 4.992
Ni 0.000 0.000 0.000
Ni 0.000 0.000 4.992
Ni 1.236 1.765 1.245
Ni 1.236 1.765 8.739
Ni 1.240 1.780 3.739
Ni 1.240 1.780 6.246
Ni 2.477 3.562 2.473
Ni 2.477 3.562 7.512
Ni 1.236 -1.765 1.245
Ni 1.236 -1.765 8.739
Ni 1.240 -1.780 3.739
Ni 1.240 -1.780 6.246
Ni 2.477 0.000 0.000
Ni 2.477 0.000 4.992
Ni 3.714 1.780 3.739
Ni 3.714 1.780 6.246
Ni 3.718 1.765 1.245
Ni 3.718 1.765 8.739
Ni 2.477 -3.562 2.473
Ni 2.477 -3.562 7.512
Ni 3.714 -1.780 3.739
Ni 3.714 -1.780 6.246
Ni 3.718 -1.765 1.245
Ni 3.718 -1.765 8.739
```

---

Copy entry 2 word for word.
Diffraction record for TlH2Cl2. The X-ray diffraction stick pattern is theoretical, not measured: it uses DFT lattice parameters and positions (PBE) and Cu Kα.
No peak broadening, texture or thermal motion is included.

Main lines, sorted by position (2θ = 10–80°):
d (Å)  2theta  I (rel.)
7.755  11.41  1000
3.877  22.94  93
3.756  23.69  194
3.694  24.09  238
3.504  25.42  105
3.188  27.99  343
3.105  28.76  162
2.526  35.54  175
2.250  40.07  102
2.199  41.04  130

Crystal structure
```
10
Lattice="3.869 -2.122 0.000 3.869 2.122 0.000 -3.796 0.000 15.510" Properties=species:S:1:pos:R:3 pbc="T T T"
Tl 1.022 1.093 11.632
Tl 2.920 -1.093 3.877
H 2.305 1.051 0.059
H 3.535 1.051 7.695
H 0.407 -1.051 7.814
H 1.636 -1.051 15.450
Cl 1.547 1.027 5.285
Cl 4.293 1.027 2.470
Cl -0.351 -1.027 13.040
Cl 2.395 -1.027 10.225
```